For NaTiF3, a PBE-relaxed structure gives the theoretical XRD peak list in this record (Cu Kα X-rays).

Atomic structure:
Unit cell a=4.1581 b=4.1581 c=4.1581 alpha=90.00 beta=90.00 gamma=90.00
Fractional coordinates of all 5 atoms:
Na1 0.0000 0.0000 0.0000
Ti1 0.5000 0.5000 0.5000
F1 0.0000 0.5000 0.5000
F2 0.5000 0.0000 0.5000
F3 0.5000 0.5000 0.0000

Most intense lines, 5° ≤ 2θ ≤ 70°, by angle:
2θ/deg  Rel. int.
21.4  83.6
30.4  92.0
37.5  16.5
43.5  100.0
49.0  27.7
54.0  34.3
63.3  53.6
67.6  11.2